This entry pairs a crystal structure of La2SiAsPd2 with its calculated powder X-ray diffraction pattern. Radiation: Cu Kα X-rays. Structure: DFT lattice parameters and positions (PBE).
Kinematic intensities with the Lorentz-polarization factor, no thermal factor.

Cell and atoms:
```
data_La2SiAsPd2
_symmetry_space_group_name_H-M 'P 1'
_symmetry_Int_Tables_number 1
_cell_length_a 4.3407
_cell_length_b 4.3407
_cell_length_c 8.2782
_cell_angle_alpha 90.00
_cell_angle_beta 90.00
_cell_angle_gamma 120.00
loop_
_symmetry_equiv_pos_as_xyz
'x,y,z'
loop_
_atom_site_label
_atom_site_fract_x
_atom_site_fract_y
_atom_site_fract_z
La1 0.0000 0.0000 0.2502
La2 0.0000 0.0000 0.7498
Si1 0.3333 0.6667 0.0000
As1 0.6667 0.3333 0.5000
Pd1 0.3333 0.6667 0.5000
Pd2 0.6667 0.3333 0.0000
```

Most intense lines, 2θ = 10–80°, in order of rising 2θ:
2θ/deg, I/Imax, index
32.17, 100, 1 0 2
41.61, 46, 1 1 0
43.74, 13, 0 0 4
53.55, 23, 2 0 2
61.96, 28, 1 1 4
70.01, 21, 2 1 2